Calculated powder XRD pattern
Compound: NiC4
Radiation: CuKα
Structure: the PBE geometry in the Materials Project
Intensities are scaled so that the largest is 100.

Atomic structure:
```
20
Lattice="4.8930 0.0000 0.0000 0.0000 4.8930 0.0000 0.0000 0.0000 15.6415" Properties=species:S:1:pos:R:3 pbc="T T T"
Ni 0.0000 0.0000 3.9104
Ni 0.0000 0.0000 11.7311
Ni 0.0000 2.4465 0.0000
Ni 2.4465 0.0000 7.8207
C 0.0000 0.6333 0.0000
C 0.0000 1.8115 3.9073
C 0.0000 1.8115 11.7341
C 0.0000 3.0816 3.9073
C 0.0000 3.0816 11.7341
C 0.0000 4.2598 0.0000
C 0.6333 0.0000 7.8207
C 1.8115 0.0000 3.9134
C 1.8115 0.0000 11.7281
C 1.8106 2.4465 0.0000
C 2.4465 1.8106 7.8207
C 2.4465 3.0825 7.8207
C 3.0816 0.0000 3.9134
C 3.0816 0.0000 11.7281
C 3.0825 2.4465 0.0000
C 4.2598 0.0000 7.8207
```

Most intense lines, 10° ≤ 2θ ≤ 90°, sorted by position:
(1 0 0), 2θ 18.13, d = 4.893 Å, intensity 35
(1 0 1), 2θ 19.00, d = 4.670 Å, intensity 63
(1 0 2), 2θ 21.42, d = 4.148 Å, intensity 47
(0 0 4), 2θ 22.74, d = 3.910 Å, intensity 100
(1 0 3), 2θ 24.96, d = 3.568 Å, intensity 32
(1 1 2), 2θ 28.20, d = 3.164 Å, intensity 20
(1 0 4), 2θ 29.24, d = 3.055 Å, intensity 21
(2 0 0), 2θ 36.73, d = 2.447 Å, intensity 31
(2 0 4), 2θ 43.64, d = 2.074 Å, intensity 36
(3 1 2), 2θ 61.05, d = 1.518 Å, intensity 16



Calculated powder XRD pattern
Compound: NiC
Radiation: CuKα
Structure: the PBE geometry in the Materials Project
Intensities are scaled so that the largest is 100.

Atomic structure:
```
8
Lattice="4.0669 0.0000 0.0000 0.0000 4.0669 0.0000 0.0000 0.0000 4.0669" Properties=species:S:1:pos:R:3 pbc="T T T"
Ni 0.0000 0.0000 0.0000
Ni 0.0000 2.0335 2.0335
Ni 2.0335 0.0000 2.0335
Ni 2.0335 2.0335 0.0000
C 0.0000 0.0000 2.0335
C 0.0000 2.0335 0.0000
C 2.0335 0.0000 0.0000
C 2.0335 2.0335 2.0335
```

Most intense lines, 10° ≤ 2θ ≤ 90°, sorted by position:
(1 1 1), 2θ 38.33, d = 2.348 Å, intensity 100
(2 0 0), 2θ 44.56, d = 2.033 Å, intensity 88
(2 2 0), 2θ 64.84, d = 1.438 Å, intensity 51
(3 1 1), 2θ 77.91, d = 1.226 Å, intensity 35
(2 2 2), 2θ 82.09, d = 1.174 Å, intensity 17



Please write out number 2 again, unchanged.
Calculated powder XRD pattern
Compound: NiC
Radiation: CuKα
Structure: the PBE geometry in the Materials Project
Intensities are scaled so that the largest is 100.

Atomic structure:
```
8
Lattice="4.0669 0.0000 0.0000 0.0000 4.0669 0.0000 0.0000 0.0000 4.0669" Properties=species:S:1:pos:R:3 pbc="T T T"
Ni 0.0000 0.0000 0.0000
Ni 0.0000 2.0335 2.0335
Ni 2.0335 0.0000 2.0335
Ni 2.0335 2.0335 0.0000
C 0.0000 0.0000 2.0335
C 0.0000 2.0335 0.0000
C 2.0335 0.0000 0.0000
C 2.0335 2.0335 2.0335
```

Most intense lines, 10° ≤ 2θ ≤ 90°, sorted by position:
(1 1 1), 2θ 38.33, d = 2.348 Å, intensity 100
(2 0 0), 2θ 44.56, d = 2.033 Å, intensity 88
(2 2 0), 2θ 64.84, d = 1.438 Å, intensity 51
(3 1 1), 2θ 77.91, d = 1.226 Å, intensity 35
(2 2 2), 2θ 82.09, d = 1.174 Å, intensity 17